[1]
Structure and computed PXRD pattern of ZrZnSb2 (a structure optimized by DFT (GGA-PBE); Cu Ka).

Atomic structure:
```
ZrZnSb2
1.0
0.000 3.592 3.592
3.592 0.000 3.592
3.592 3.592 0.000
Zr Zn Sb
1 1 2
Direct
0.000 0.000 0.000 Zr
0.750 0.750 0.750 Zn
0.250 0.250 0.250 Sb
0.500 0.500 0.500 Sb
```

Main lines, in order of falling intensity (10 to 90 degrees two-theta):
2θ/deg  intensity
35.34  100.0
63.44  34.9
50.84  17.3
85.49  15.2
74.76  10.7
21.42  4.6
41.70  2.5
55.78  1.1
78.82  0.8
67.78  0.8


[2]
Structure and computed PXRD pattern of Zr4Sb3 (a structure optimized by DFT (GGA-PBE); Cu Ka).

Atomic structure:
```
Zr4Sb3
1.0
8.436 0.000 0.000
-4.218 7.306 0.000
0.000 0.000 5.662
Zr Sb
8 6
Direct
0.098 0.444 0.250 Zr
0.333 0.667 0.750 Zr
0.346 0.902 0.250 Zr
0.444 0.346 0.750 Zr
0.556 0.654 0.250 Zr
0.654 0.098 0.750 Zr
0.667 0.333 0.250 Zr
0.902 0.556 0.750 Zr
0.051 0.295 0.750 Sb
0.244 0.949 0.750 Sb
0.295 0.244 0.250 Sb
0.705 0.756 0.750 Sb
0.756 0.051 0.250 Sb
0.949 0.705 0.250 Sb
```

Main lines, in order of falling intensity (10 to 90 degrees two-theta):
2θ/deg  intensity
36.19  100.0
31.60  48.0
32.42  34.3
45.91  31.8
59.30  23.0
70.16  14.0
36.91  11.8
66.01  11.7
49.36  10.1
21.06  9.9


[3]
Structure and computed PXRD pattern of Zr11Sb18 (a structure optimized by DFT (GGA-PBE); Cu Ka).

Atomic structure:
```
Zr11Sb18
1.0
-3.414 3.414 30.257
3.414 -3.414 30.257
3.414 3.414 -30.257
Zr Sb
22 36
Direct
0.000 0.000 0.000 Zr
0.024 0.524 0.500 Zr
0.089 0.089 0.000 Zr
0.113 0.613 0.500 Zr
0.183 0.183 0.000 Zr
0.202 0.702 0.500 Zr
0.274 0.274 0.000 Zr
0.298 0.798 0.500 Zr
0.363 0.363 0.000 Zr
0.387 0.887 0.500 Zr
0.452 0.452 0.000 Zr
0.476 0.976 0.500 Zr
0.548 0.548 0.000 Zr
0.567 0.067 0.500 Zr
0.637 0.637 0.000 Zr
0.661 0.161 0.500 Zr
0.726 0.726 0.000 Zr
0.750 0.250 0.500 Zr
0.817 0.817 0.000 Zr
0.839 0.339 0.500 Zr
0.911 0.911 0.000 Zr
0.933 0.433 0.500 Zr
0.000 0.858 0.551 Sb
0.032 0.125 0.407 Sb
0.081 0.459 0.070 Sb
0.115 0.776 0.976 Sb
0.142 0.693 0.142 Sb
0.159 0.151 0.670 Sb
0.199 0.557 0.949 Sb
0.209 0.331 0.570 Sb
0.224 0.200 0.339 Sb
0.238 0.730 0.830 Sb
0.270 0.099 0.508 Sb
0.307 0.449 0.449 Sb
0.361 0.791 0.121 Sb
0.375 0.968 0.093 Sb
0.389 0.011 0.930 Sb
0.443 0.392 0.642 Sb
0.480 0.488 0.330 Sb
0.512 0.841 0.992 Sb
0.526 0.365 0.476 Sb
0.541 0.611 0.621 Sb
0.551 0.000 0.858 Sb
0.591 0.762 0.492 Sb
0.608 0.250 0.051 Sb
0.635 0.111 0.161 Sb
0.669 0.239 0.879 Sb
0.718 0.625 0.593 Sb
0.750 0.801 0.358 Sb
0.761 0.639 0.430 Sb
0.800 0.139 0.024 Sb
0.849 0.520 0.008 Sb
0.861 0.885 0.661 Sb
0.875 0.282 0.907 Sb
0.889 0.050 0.524 Sb
0.901 0.409 0.170 Sb
0.950 0.474 0.839 Sb
0.989 0.919 0.379 Sb
```

Main lines, in order of falling intensity (10 to 90 degrees two-theta):
2θ/deg  intensity
32.45  100.0
33.57  93.3
31.06  92.6
43.01  66.4
37.64  39.3
37.25  32.9
67.42  20.5
53.16  20.2
37.74  17.6
61.49  17.6


[4]
Structure and computed PXRD pattern of ScTaSe4 (a structure optimized by DFT (GGA-PBE); Cu Ka).

Atomic structure:
```
ScTaSe4
1.0
1.807 -6.863 0.000
1.807 6.863 0.000
0.000 0.000 6.254
Sc Ta Se
1 1 4
Direct
0.000 0.000 0.000 Sc
0.500 0.500 0.513 Ta
0.119 0.881 0.351 Se
0.376 0.624 0.821 Se
0.624 0.376 0.821 Se
0.881 0.119 0.351 Se
```

Main lines, in order of falling intensity (10 to 90 degrees two-theta):
2θ/deg  intensity
12.90  100.0
34.74  87.6
29.28  57.0
43.88  54.0
38.97  53.6
51.01  48.0
14.16  35.0
65.60  31.4
19.20  26.1
31.44  19.7